The following is a theoretical powder diffractogram of TbSmRh2. It was derived from a DFT-relaxed cell (PBE, the Materials Project), using λ = 1.5418 Å (Cu Kα).
Intensities are scaled so that the largest is 100.

Top 7 peaks for 2θ = 10–80°, sorted by position:
2θ (°)	Rel. int.
25.6	4
36.5	100
45.1	1
52.6	17
59.4	2
65.7	35
77.6	11

Atomic structure:
```
TbSmRh2
1.0
0.000 3.481 3.481
3.481 0.000 3.481
3.481 3.481 0.000
Tb Sm Rh
1 1 2
Cartesian
0.000 0.000 0.000 Tb
3.481 3.481 3.481 Sm
1.740 1.740 1.740 Rh
5.221 5.221 5.221 Rh
```

The following is a theoretical powder diffractogram of MgSi. It was derived from a DFT-relaxed cell (PBE, the Materials Project), using λ = 1.5418 Å (Cu Kα).
Intensities are scaled so that the largest is 100.

Top 10 peaks for 2θ = 10–80°, sorted by position:
2θ (°)	Rel. int.
25.3	44
27.2	40
28.4	100
37.3	57
39.0	58
39.6	87
40.2	39
40.6	59
45.0	78
47.1	42

Atomic structure:
```
MgSi
1.0
4.625 0.000 0.000
0.373 5.073 0.000
1.797 0.451 10.242
Mg Si
6 6
Cartesian
0.000 0.000 0.000 Mg
1.197 0.745 4.329 Mg
3.471 4.759 6.495 Mg
2.812 2.571 0.596 Mg
4.590 1.921 7.904 Mg
4.851 3.735 2.800 Mg
2.315 2.931 9.266 Si
2.612 5.054 1.694 Si
3.312 2.169 5.303 Si
3.599 1.389 3.032 Si
5.799 4.371 7.699 Si
5.779 3.336 5.470 Si
```